1.
Starting from the PBE geometry in Alexandria, the X-ray powder pattern of HoTlTe4 was calculated for CuKα.
Lines closer than 0.1° are merged.

Structure:
```
data_HoTlTe4
_symmetry_space_group_name_H-M 'P 4/n b m'
_symmetry_Int_Tables_number 125
_cell_length_a 6.8201
_cell_length_b 6.8201
_cell_length_c 8.7305
_cell_angle_alpha 90.00
_cell_angle_beta 90.00
_cell_angle_gamma 90.00
loop_
_symmetry_equiv_pos_as_xyz
'x,y,z'
'-x,-y,-z'
'-y+1/2,x,z'
'y+1/2,-x,-z'
'-x+1/2,-y+1/2,z'
'x+1/2,y+1/2,-z'
'y,-x+1/2,z'
'-y,x+1/2,-z'
'x,-y+1/2,-z'
'-x,y+1/2,z'
'-y+1/2,-x+1/2,-z'
'y+1/2,x+1/2,z'
'-x+1/2,y,-z'
'x+1/2,-y,z'
'y,x,-z'
'-y,-x,z'
loop_
_atom_site_label
_atom_site_fract_x
_atom_site_fract_y
_atom_site_fract_z
Ho1 0.2500 0.2500 0.0000
Tl1 0.2500 0.2500 0.5000
Te1 0.1029 0.6029 0.2110
```

Main lines, in order of falling intensity (2θ from 5° to 70°):
2θ/deg, Rel. int.
27.6, 100
31.1, 74
33.3, 52
41.9, 49
58.1, 26
60.3, 22
61.5, 21
43.0, 18
18.4, 16
37.3, 13

=====

2.
Starting from the PBE geometry in Alexandria, the X-ray powder pattern of Sr8Cd was calculated for CuKα.
Lines closer than 0.1° are merged.

Structure:
```
data_Sr8Cd
_symmetry_space_group_name_H-M 'I 4/m m m'
_symmetry_Int_Tables_number 139
_symmetry_space_group_name_Hall '-I 4 2'
_cell_length_a 12.5027
_cell_length_b 12.5027
_cell_length_c 5.6551
_cell_angle_alpha 90.00
_cell_angle_beta 90.00
_cell_angle_gamma 90.00
loop_
_atom_site_label
_atom_site_fract_x
_atom_site_fract_y
_atom_site_fract_z
Sr1 0.0000 0.3267 0.0000
Sr2 0.1571 0.1571 0.5000
Cd1 0.0000 0.0000 0.0000
```

Main lines, in order of falling intensity (2θ from 5° to 70°):
2θ/deg, Rel. int.
26.6, 100
30.3, 36
51.6, 30
44.4, 24
31.6, 16
53.3, 14
43.4, 12
54.7, 12
69.7, 5
63.1, 4

=====

3.
Starting from the PBE geometry in Alexandria, the X-ray powder pattern of V3CrTc3 was calculated for CuKα.
Lines closer than 0.1° are merged.

Structure:
```
data_V3CrTc3
_symmetry_space_group_name_H-M 'C m m m'
_symmetry_Int_Tables_number 65
_symmetry_space_group_name_Hall '-C 2 2'
_cell_length_a 8.2683
_cell_length_b 8.4468
_cell_length_c 5.8722
_cell_angle_alpha 90.00
_cell_angle_beta 90.00
_cell_angle_gamma 90.00
loop_
_atom_site_label
_atom_site_fract_x
_atom_site_fract_y
_atom_site_fract_z
V1 0.0000 0.2250 0.0000
V2 0.1932 0.0000 0.5000
V3 0.2420 0.5000 0.0000
Cr1 0.0000 0.2615 0.5000
Tc1 0.0000 0.5000 0.2549
Tc2 0.2500 0.2500 0.2508
```

Main lines, in order of falling intensity (2θ from 5° to 70°):
2θ/deg, Rel. int.
43.5, 100
42.8, 27
43.8, 22
15.0, 21
62.9, 13
34.1, 12
63.4, 8
46.0, 8
21.0, 7
34.2, 7

=====

4.
Starting from the PBE geometry in Alexandria, the X-ray powder pattern of Mg2H3Ru was calculated for CuKα.
Lines closer than 0.1° are merged.

Structure:
```
data_Mg2H3Ru
_symmetry_space_group_name_H-M 'C 1 2/c 1'
_symmetry_Int_Tables_number 15
_cell_length_a 9.3271
_cell_length_b 4.2893
_cell_length_c 6.1491
_cell_angle_alpha 90.00
_cell_angle_beta 109.12
_cell_angle_gamma 90.00
loop_
_symmetry_equiv_pos_as_xyz
'x,y,z'
'-x,-y,-z'
'-x,y,-z+1/2'
'x,-y,z+1/2'
'x+1/2,y+1/2,z'
'-x+1/2,-y+1/2,-z'
'-x+1/2,y+1/2,-z+1/2'
'x+1/2,-y+1/2,z+1/2'
loop_
_atom_site_label
_atom_site_fract_x
_atom_site_fract_y
_atom_site_fract_z
Mg1 0.1654 0.0062 0.0837
H1 0.0000 0.0602 0.7500
H2 0.1162 0.4928 0.5573
Ru1 0.0000 0.4549 0.7500
```

Main lines, in order of falling intensity (2θ from 5° to 70°):
2θ/deg, Rel. int.
35.9, 100
37.1, 93
23.1, 81
20.2, 67
30.8, 41
61.4, 37
42.5, 36
42.6, 35
41.5, 33
42.1, 30